# 1
Structure and simulated powder XRD pattern of Lu3PCN (a cell relaxed with PBE; copper Kα).
Intensities are scaled so that the largest is 100.

Crystal structure
Cell: 3.4781 3.4781 18.5806 Å, 90.00 90.00 120.00°
Space group P-3m1 (No. 164)
Inequivalent atoms, fractional coordinates:
Lu  0.0000  0.0000  0.0000
Lu  0.0000  0.0000  0.5000
Lu  0.3333  0.6667  0.1434
Lu  0.3333  0.6667  0.3509
P  0.0000  0.0000  0.2444
C  0.3333  0.6667  0.5805
N  0.3333  0.6667  0.9265

Largest 10 diffraction maxima, sorted by position, 2θ from 5° to 70°:
28.83°, d 3.097, I 30, hkl 0 0 6; 30.06°, d 2.973, I 63, hkl 1 0 1; 31.22°, d 2.865, I 36, hkl 0 1 2; 35.52°, d 2.527, I 100, hkl 0 1 4; 38.47°, d 2.340, I 61, hkl 1 0 5; 52.63°, d 1.739, I 42, hkl 1 1 0; 53.84°, d 1.703, I 20, hkl 1 0 9; 58.35°, d 1.581, I 19, hkl 0 1 10; 61.12°, d 1.516, I 23, hkl 1 1 6; 65.11°, d 1.433, I 17, hkl 2 0 4



# 2
Structure and simulated powder XRD pattern of Nb4GaC2S (a cell relaxed with PBE; copper Kα).
Intensities are scaled so that the largest is 100.

Crystal structure
Cell: 3.2354 3.2354 12.6371 Å, 90.00 90.00 120.00°
Space group P-6m2 (No. 187)
Inequivalent atoms, fractional coordinates:
Nb  0.0000  0.0000  0.1435
Nb  0.3333  0.6667  0.3292
Ga  0.0000  0.0000  0.5000
C  0.6667  0.3333  0.2388
S  0.3333  0.6667  0.0000

Largest 10 diffraction maxima, sorted by position, 2θ from 5° to 70°:
14.02°, d 6.319, I 6, hkl 0 0 2; 31.94°, d 2.802, I 26, hkl 1 0 0; 32.74°, d 2.735, I 8, hkl 1 0 1; 35.03°, d 2.561, I 6, hkl 1 0 2; 35.52°, d 2.527, I 5, hkl 0 0 5; 38.59°, d 2.333, I 100, hkl 1 0 3; 42.94°, d 2.106, I 12, hkl 0 0 6; 54.50°, d 1.684, I 11, hkl 1 0 6; 56.92°, d 1.618, I 24, hkl 1 1 0; 68.15°, d 1.376, I 7, hkl 1 0 8



# 3
Structure and simulated powder XRD pattern of CsPaCd (a cell relaxed with PBE; copper Kα).
Intensities are scaled so that the largest is 100.

Crystal structure
Cell: 7.3869 7.3869 7.3869 Å, 90.00 90.00 90.00°
Space group F-43m (No. 216)
Inequivalent atoms, fractional coordinates:
Cs  0.0000  0.0000  0.0000
Pa  0.2500  0.2500  0.7500
Cd  0.0000  0.0000  0.5000

Largest 7 diffraction maxima, sorted by position, 2θ from 5° to 70°:
20.83°, d 4.265, I 53, hkl 1 1 1; 34.34°, d 2.612, I 100, hkl 2 2 0; 40.50°, d 2.227, I 30, hkl 3 1 1; 49.35°, d 1.847, I 18, hkl 4 0 0; 54.12°, d 1.695, I 13, hkl 3 3 1; 61.50°, d 1.508, I 37, hkl 4 2 2; 65.68°, d 1.422, I 10, hkl 5 1 1



# 4
Structure and simulated powder XRD pattern of Nb4Co4Si7 (a cell relaxed with PBE; copper Kα).
Intensities are scaled so that the largest is 100.

Crystal structure
Cell: 12.5474 12.5474 4.9845 Å, 90.00 90.00 90.00°
Space group I4/mmm (No. 139)
Inequivalent atoms, fractional coordinates:
Nb  0.0000  0.1913  0.0000
Nb  0.1342  0.1342  0.5000
Co  0.1487  0.3513  0.2500
Si  0.0000  0.0000  0.2507
Si  0.0000  0.2972  0.5000
Si  0.0000  0.4058  0.0000
Si  0.2086  0.2086  0.0000

Largest 10 diffraction maxima, sorted by position, 2θ from 5° to 70°:
28.45°, d 3.137, I 13, hkl 4 0 0; 31.35°, d 2.853, I 18, hkl 3 2 1; 34.53°, d 2.597, I 15, hkl 4 1 1; 40.23°, d 2.241, I 100, hkl 5 0 1; 40.68°, d 2.218, I 23, hkl 4 4 0; 42.85°, d 2.110, I 59, hkl 3 1 2; 43.26°, d 2.091, I 28, hkl 6 0 0; 64.46°, d 1.446, I 11, hkl 5 5 2; 67.62°, d 1.385, I 21, hkl 5 0 3; 68.24°, d 1.374, I 22, hkl 7 3 2



# 5
Structure and simulated powder XRD pattern of Dy4Hf3As4 (a cell relaxed with PBE; copper Kα).
Intensities are scaled so that the largest is 100.

Crystal structure
Cell: 7.4226 3.8710 8.9222 Å, 90.00 98.50 90.00°
Space group Pm (No. 6)
Inequivalent atoms, fractional coordinates:
Dy  0.0000  0.0000  0.0000
Dy  0.0659  0.5000  0.4468
Dy  0.4418  0.0000  0.5926
Dy  0.7463  0.5000  0.1461
Hf  0.3150  0.5000  0.8738
Hf  0.4457  0.0000  0.2172
Hf  0.7817  0.5000  0.7482
As  0.0742  0.0000  0.6986
As  0.2041  0.5000  0.1608
As  0.5921  0.0000  0.9178
As  0.6454  0.5000  0.4365

Largest 10 diffraction maxima, sorted by position, 2θ from 5° to 70°:
28.61°, d 3.121, I 31, hkl 1 1 1; 31.04°, d 2.881, I 27, hkl 1 0 -3; 31.96°, d 2.800, I 36, hkl 1 1 -2; 33.65°, d 2.664, I 97, hkl 2 1 0; 34.48°, d 2.601, I 35, hkl 1 0 3; 36.24°, d 2.479, I 100, hkl 2 1 1; 37.53°, d 2.397, I 36, hkl 2 1 -2; 38.44°, d 2.342, I 65, hkl 0 1 3; 38.97°, d 2.311, I 31, hkl 1 1 -3; 46.94°, d 1.935, I 49, hkl 0 2 0



# 6
Structure and simulated powder XRD pattern of DySnPbSe3 (a cell relaxed with PBE; copper Kα).
Intensities are scaled so that the largest is 100.

Crystal structure
Cell: 4.0028 14.8688 11.6847 Å, 90.00 90.00 90.00°
Space group Cmcm (No. 63)
Inequivalent atoms, fractional coordinates:
Dy  0.0000  0.0000  0.0000
Sn  0.0000  0.3496  0.2500
Pb  0.0000  0.3382  0.7500
Se  0.0000  0.0044  0.7500
Se  0.0000  0.3647  0.0040

Largest 10 diffraction maxima, sorted by position, 2θ from 5° to 70°:
19.32°, d 4.594, I 19, hkl 0 2 2; 27.67°, d 3.224, I 11, hkl 1 1 2; 28.67°, d 3.114, I 100, hkl 1 3 0; 30.60°, d 2.921, I 46, hkl 0 0 4; 36.25°, d 2.478, I 20, hkl 0 6 0; 42.43°, d 2.131, I 70, hkl 1 3 4; 45.31°, d 2.001, I 16, hkl 2 0 0; 48.15°, d 1.890, I 19, hkl 0 6 4; 55.67°, d 1.651, I 18, hkl 2 0 4; 68.26°, d 1.374, I 13, hkl 2 6 4



# 7
Structure and simulated powder XRD pattern of CuAg (a cell relaxed with PBE; copper Kα).
Intensities are scaled so that the largest is 100.

Crystal structure
Cell: 4.6613 2.8274 11.3077 Å, 90.00 92.34 90.00°
Space group P2/m (No. 10)
Inequivalent atoms, fractional coordinates:
Cu  0.0000  0.0000  0.0000
Cu  0.1179  0.5000  0.8140
Cu  0.3116  0.5000  0.4112
Ag  0.1849  0.0000  0.6083
Ag  0.3707  0.0000  0.2103
Ag  0.5000  0.5000  0.0000

Largest 10 diffraction maxima, sorted by position, 2θ from 5° to 70°:
24.27°, d 3.668, I 3, hkl 1 0 -2; 35.51°, d 2.528, I 5, hkl 0 1 2; 36.52°, d 2.460, I 5, hkl 1 0 -4; 39.87°, d 2.261, I 99, hkl 2 0 1; 40.27°, d 2.239, I 100, hkl 1 1 -2; 45.00°, d 2.015, I 72, hkl 1 1 3; 49.71°, d 1.834, I 24, hkl 2 0 -4; 64.95°, d 1.436, I 10, hkl 2 0 6; 66.09°, d 1.414, I 11, hkl 0 2 0; 69.28°, d 1.356, I 32, hkl 3 1 -1



# 8
Structure and simulated powder XRD pattern of Mo2AsP (a cell relaxed with PBE; copper Kα).
Intensities are scaled so that the largest is 100.

Crystal structure
Cell: 3.8292 3.8292 16.9450 Å, 90.00 90.00 90.00°
Space group I4/mmm (No. 139)
Inequivalent atoms, fractional coordinates:
Mo  0.0000  0.0000  0.1341
Mo  0.0000  0.5000  0.0000
As  0.0000  0.5000  0.2500
P  0.0000  0.0000  0.3994

Largest 10 diffraction maxima, sorted by position, 2θ from 5° to 70°:
20.97°, d 4.236, I 4, hkl 0 0 4; 23.82°, d 3.735, I 7, hkl 1 0 1; 28.15°, d 3.170, I 14, hkl 1 0 3; 39.50°, d 2.281, I 100, hkl 1 1 4; 42.69°, d 2.118, I 17, hkl 0 0 8; 44.27°, d 2.046, I 8, hkl 1 0 7; 47.49°, d 1.915, I 30, hkl 2 0 0; 65.74°, d 1.420, I 18, hkl 2 0 8; 66.93°, d 1.398, I 5, hkl 2 1 7; 69.42°, d 1.354, I 10, hkl 2 2 0



# 9
Structure and simulated powder XRD pattern of Y5ReTe3 (a cell relaxed with PBE; copper Kα).
Intensities are scaled so that the largest is 100.

Crystal structure
Cell: 8.1862 8.1862 4.2308 Å, 90.00 90.00 120.00°
Space group P-62m (No. 189)
Inequivalent atoms, fractional coordinates:
Y  0.0000  0.6599  0.0000
Y  0.3333  0.6667  0.5000
Re  0.0000  0.0000  0.0000
Te  0.0000  0.2490  0.5000

Largest 10 diffraction maxima, sorted by position, 2θ from 5° to 70°:
12.49°, d 7.089, I 75, hkl 1 0 0; 24.50°, d 3.633, I 15, hkl 1 0 1; 30.39°, d 2.942, I 100, hkl 1 1 1; 32.97°, d 2.717, I 59, hkl 2 0 1; 33.44°, d 2.680, I 24, hkl 2 1 0; 38.08°, d 2.363, I 66, hkl 3 0 0; 39.82°, d 2.264, I 89, hkl 2 1 1; 42.75°, d 2.115, I 28, hkl 0 0 2; 58.56°, d 1.576, I 37, hkl 3 0 2; 61.04°, d 1.518, I 27, hkl 3 2 1



# 10
Structure and simulated powder XRD pattern of PrInPdPt (a cell relaxed with PBE; copper Kα).
Intensities are scaled so that the largest is 100.

Crystal structure
Cell: 4.6649 4.6649 9.3102 Å, 90.00 90.00 120.00°
Space group P-3m1 (No. 164)
Inequivalent atoms, fractional coordinates:
Pr  0.3333  0.6667  0.2452
In  0.0000  0.0000  0.0000
In  0.0000  0.0000  0.5000
Pd  0.3333  0.6667  0.5810
Pt  0.3333  0.6667  0.9108

Largest 10 diffraction maxima, sorted by position, 2θ from 5° to 70°:
9.50°, d 9.310, I 12, hkl 0 0 1; 22.00°, d 4.040, I 13, hkl 1 0 0; 29.27°, d 3.051, I 22, hkl 1 0 2; 36.51°, d 2.461, I 100, hkl 1 0 3; 38.60°, d 2.332, I 93, hkl 1 1 0; 44.93°, d 2.017, I 10, hkl 1 0 4; 54.18°, d 1.693, I 33, hkl 0 2 3; 64.31°, d 1.449, I 15, hkl 0 1 6; 68.48°, d 1.370, I 32, hkl 2 1 3; 69.85°, d 1.347, I 16, hkl 3 0 0